No. 1
Na2UI6: calculated XRD peak list (Cu Kα (weighted mean of Kα1 and Kα2)), based on DFT lattice parameters and positions (GGA-PBE).

The 12 most intense peaks (2θ from 15° to 90°), in order of falling intensity:
| 2θ/deg | I (rel.) |
| --- | --- |
| 28.05 | 100 |
| 26.04 | 91 |
| 36.01 | 81 |
| 28.28 | 80 |
| 17.79 | 79 |
| 38.10 | 78 |
| 17.61 | 50 |
| 44.33 | 49 |
| 45.35 | 40 |
| 28.17 | 39 |
| 48.11 | 33 |
| 30.42 | 32 |

Lattice parameters (Å, degrees): 10.3034 9.5819 8.0657 70.85 61.46 47.69
Element x y z (fractional)
Na (0.0000, 0.0000, 0.5000)
Na (0.5000, 0.5000, 0.0000)
U (0.0000, 0.0000, 0.0000)
I (0.0499, 0.6984, 0.3016)
I (0.3016, 0.6984, 0.6984)
I (0.3016, 0.9501, 0.0499)
I (0.6984, 0.0499, 0.9501)
I (0.6984, 0.3016, 0.3016)
I (0.9501, 0.3016, 0.6984)

---

No. 2
Sm3Si2Pd6: calculated XRD peak list (Cu Kα (weighted mean of Kα1 and Kα2)), based on DFT lattice parameters and positions (GGA-PBE).

The 12 most intense peaks (2θ from 15° to 90°), in order of falling intensity:
| 2θ/deg | I (rel.) |
| --- | --- |
| 40.50 | 100 |
| 35.55 | 34 |
| 29.90 | 25 |
| 73.67 | 21 |
| 60.39 | 20 |
| 26.68 | 19 |
| 38.09 | 18 |
| 65.53 | 13 |
| 58.62 | 12 |
| 56.81 | 11 |
| 76.83 | 10 |
| 79.94 | 8 |

Lattice parameters (Å, degrees): 8.1833 8.1833 8.1833 109.47 109.47 109.47
Element x y z (fractional)
Sm (0.0000, 0.2864, 0.2864)
Sm (0.0000, 0.7136, 0.7136)
Sm (0.2864, 0.0000, 0.2864)
Sm (0.2864, 0.2864, 0.0000)
Sm (0.7136, 0.0000, 0.7136)
Sm (0.7136, 0.7136, 0.0000)
Si (0.0000, 0.0000, 0.5000)
Si (0.0000, 0.5000, 0.0000)
Si (0.5000, 0.0000, 0.0000)
Si (0.5000, 0.5000, 0.5000)
Pd (0.0000, 0.3234, 0.6766)
Pd (0.0000, 0.6766, 0.3234)
Pd (0.3234, 0.0000, 0.6766)
Pd (0.3234, 0.3234, 0.6469)
Pd (0.3234, 0.6469, 0.3234)
Pd (0.3234, 0.6766, 0.0000)
Pd (0.3531, 0.6766, 0.6766)
Pd (0.6469, 0.3234, 0.3234)
Pd (0.6766, 0.0000, 0.3234)
Pd (0.6766, 0.3234, 0.0000)
Pd (0.6766, 0.3531, 0.6766)
Pd (0.6766, 0.6766, 0.3531)

---

No. 3
Cs6Rb: calculated XRD peak list (Cu Kα (weighted mean of Kα1 and Kα2)), based on DFT lattice parameters and positions (GGA-PBE).

The 12 most intense peaks (2θ from 15° to 90°), in order of falling intensity:
| 2θ/deg | I (rel.) |
| --- | --- |
| 20.79 | 100 |
| 36.42 | 46 |
| 57.03 | 24 |
| 47.59 | 21 |
| 29.57 | 20 |
| 42.31 | 15 |
| 65.54 | 12 |
| 81.15 | 10 |
| 69.58 | 7 |
| 88.64 | 5 |
| 52.46 | 5 |
| 73.49 | 4 |

Lattice parameters (Å, degrees): 13.1755 13.1755 13.1755 118.28 118.28 118.28
Element x y z (fractional)
Cs (0.0499, 0.7723, 0.6273)
Cs (0.2277, 0.3727, 0.9501)
Cs (0.3727, 0.9501, 0.2277)
Cs (0.6273, 0.0499, 0.7723)
Cs (0.7723, 0.6273, 0.0499)
Cs (0.9501, 0.2277, 0.3727)
Rb (0.5000, 0.5000, 0.5000)

---

No. 4
Sm4Y8Er3: calculated XRD peak list (Cu Kα (weighted mean of Kα1 and Kα2)), based on DFT lattice parameters and positions (GGA-PBE).

The 12 most intense peaks (2θ from 15° to 90°), in order of falling intensity:
| 2θ/deg | I (rel.) |
| --- | --- |
| 31.30 | 100 |
| 36.02 | 74 |
| 30.32 | 64 |
| 61.83 | 50 |
| 29.73 | 49 |
| 52.49 | 42 |
| 26.66 | 33 |
| 34.61 | 23 |
| 51.21 | 22 |
| 34.38 | 22 |
| 86.45 | 18 |
| 25.55 | 17 |

Lattice parameters (Å, degrees): 12.4608 12.4608 12.4608 32.50 32.50 32.50
Element x y z (fractional)
Sm (0.0000, 0.0000, 0.0000)
Sm (0.1638, 0.1638, 0.1638)
Sm (0.5000, 0.5000, 0.5000)
Sm (0.8362, 0.8362, 0.8362)
Y (0.2501, 0.2501, 0.7475)
Y (0.2501, 0.7475, 0.2501)
Y (0.2525, 0.7499, 0.7499)
Y (0.2552, 0.2552, 0.2552)
Y (0.7448, 0.7448, 0.7448)
Y (0.7475, 0.2501, 0.2501)
Y (0.7499, 0.2525, 0.7499)
Y (0.7499, 0.7499, 0.2525)
Er (0.0000, 0.5000, 0.5000)
Er (0.5000, 0.0000, 0.5000)
Er (0.5000, 0.5000, 0.0000)

---

Q: Number 1 is which compound?
A: Na2UI6